For Rb3CuNi2F9, DFT lattice parameters and positions (GGA+U) gives the calculated powder diffractogram in this record (CuKα).
Lines closer than 0.1° are merged.

Peak list (6 most intense, 2θ = 10–90°, by intensity)
2theta	I_rel
30.5	100
43.7	45
54.3	39
63.5	26
88.3	20
72.1	17

Structure:
Unit cell a=5.8560 b=5.8560 c=7.1739 alpha=90.00 beta=90.00 gamma=120.00
Space group P-3m1 (No. 164)
Unique sites:
Rb1 0.0000 0.0000 0.0000 x1
Rb2 0.3333 0.6667 0.6655 x2
Cu1 0.0000 0.0000 0.5000 x1
Ni1 0.3333 0.6667 0.1647 x2
F1 0.0000 0.5000 0.0000 x3
F2 0.1674 0.3348 0.3326 x6